(1)
Structure and computed powder X-ray diffraction pattern of Ac2Al2Te7 (a cell relaxed with GGA-PBE; Cu Kα (weighted mean of Kα1 and Kα2)).
Lines closer than 0.1° are merged.

Structure:
```
data_Ac2Al2Te7
_chemical_formula_sum 'Ac4 Al4 Te14'
_space_group_name_H-M_alt 'C 1 2/m 1'
_space_group_IT_number 12
_cell_length_a 9.694
_cell_length_b 13.709
_cell_length_c 7.506
_cell_angle_alpha 90.00
_cell_angle_beta 110.17
_cell_angle_gamma 90.00
loop_
_space_group_symop_operation_xyz
'x,y,z'
'-x,-y,-z'
'-x,y,-z'
'x,-y,z'
'x+1/2,y+1/2,z'
'-x+1/2,-y+1/2,-z'
'-x+1/2,y+1/2,-z'
'x+1/2,-y+1/2,z'
loop_
_atom_site_label
_atom_site_fract_x
_atom_site_fract_y
_atom_site_fract_z
Ac1 0.000 0.201 0.000
Al1 0.243 0.500 0.386
Te1 0.000 0.500 0.500
Te2 0.176 0.000 0.241
Te3 0.218 0.166 0.749
```

Most intense lines, 2θ = 10–90°, by angle:
2θ 18.06, d 4.913, I 84
2θ 21.76, d 4.084, I 46
2θ 26.11, d 3.413, I 95
2θ 26.88, d 3.317, I 100
2θ 29.80, d 2.998, I 54
2θ 34.10, d 2.629, I 45
2θ 37.31, d 2.410, I 52
2θ 39.44, d 2.285, I 66

---

(2)
Structure and computed powder X-ray diffraction pattern of AcAlTe4 (a cell relaxed with GGA-PBE; Cu Kα (weighted mean of Kα1 and Kα2)).
Lines closer than 0.1° are merged.

Structure:
```
data_AcAlTe4
_chemical_formula_sum 'Ac2 Al2 Te8'
_space_group_name_H-M_alt 'P 1 2/c 1'
_space_group_IT_number 13
_cell_length_a 6.441
_cell_length_b 8.139
_cell_length_c 8.370
_cell_angle_alpha 90.00
_cell_angle_beta 91.56
_cell_angle_gamma 90.00
loop_
_space_group_symop_operation_xyz
'x,y,z'
'-x,-y,-z'
'-x,y,-z+1/2'
'x,-y,z+1/2'
loop_
_atom_site_label
_atom_site_fract_x
_atom_site_fract_y
_atom_site_fract_z
Ac1 0.000 0.238 0.250
Al1 0.500 0.232 0.750
Te1 0.234 0.078 0.572
Te2 0.300 0.436 0.944
```

Most intense lines, 2θ = 10–90°, by angle:
2θ 20.35, d 4.365, I 59
2θ 20.74, d 4.283, I 42
2θ 27.39, d 3.256, I 53
2θ 27.93, d 3.195, I 72
2θ 28.19, d 3.165, I 41
2θ 30.65, d 2.917, I 63
2θ 34.74, d 2.583, I 49
2θ 35.60, d 2.522, I 100

---

(3)
Structure and computed powder X-ray diffraction pattern of AcThAl2 (a cell relaxed with GGA-PBE; Cu Kα (weighted mean of Kα1 and Kα2)).
Lines closer than 0.1° are merged.

Structure:
```
data_AcThAl2
_chemical_formula_sum 'Ac4 Th4 Al8'
_space_group_name_H-M_alt 'F m -3 m'
_space_group_IT_number 225
_space_group_name_Hall '-F 4 2 3'
_cell_length_a 7.671
_cell_length_b 7.671
_cell_length_c 7.671
_cell_angle_alpha 90.00
_cell_angle_beta 90.00
_cell_angle_gamma 90.00
loop_
_atom_site_label
_atom_site_fract_x
_atom_site_fract_y
_atom_site_fract_z
Ac1 0.000 0.000 0.000
Th1 0.000 0.000 0.500
Al1 0.250 0.250 0.250
```

Most intense lines, 2θ = 10–90°, by angle:
2θ 23.19, d 3.836, I 73
2θ 33.03, d 2.712, I 100
2θ 40.75, d 2.214, I 23
2θ 47.40, d 1.918, I 19
2θ 53.41, d 1.715, I 33
2θ 58.99, d 1.566, I 39
2θ 74.17, d 1.279, I 16
2θ 78.93, d 1.213, I 17

---

(4)
Structure and computed powder X-ray diffraction pattern of Ac6AlTl5 (a cell relaxed with GGA-PBE; Cu Kα (weighted mean of Kα1 and Kα2)).
Lines closer than 0.1° are merged.

Structure:
```
data_Ac6AlTl5
_chemical_formula_sum 'Ac12 Al2 Tl10'
_space_group_name_H-M_alt 'C m m m'
_space_group_IT_number 65
_space_group_name_Hall '-C 2 2'
_cell_length_a 5.831
_cell_length_b 17.470
_cell_length_c 8.179
_cell_angle_alpha 90.00
_cell_angle_beta 90.00
_cell_angle_gamma 90.00
loop_
_atom_site_label
_atom_site_fract_x
_atom_site_fract_y
_atom_site_fract_z
Ac1 0.000 0.000 0.242
Ac2 0.000 0.337 0.246
Al1 0.000 0.500 0.000
Tl1 0.000 0.168 0.500
Tl2 0.000 0.169 0.000
Tl3 0.000 0.500 0.500
```

Most intense lines, 2θ = 10–90°, by angle:
2θ 30.69, d 2.914, I 51
2θ 30.80, d 2.903, I 100
2θ 43.95, d 2.060, I 19
2θ 54.63, d 1.680, I 41
2θ 54.85, d 1.674, I 20
2θ 64.17, d 1.451, I 13
2θ 72.58, d 1.302, I 18
2θ 89.41, d 1.096, I 11

---

(5)
Structure and computed powder X-ray diffraction pattern of Ac7Al2Tl2 (a cell relaxed with GGA-PBE; Cu Kα (weighted mean of Kα1 and Kα2)).
Lines closer than 0.1° are merged.

Structure:
```
data_Ac7Al2Tl2
_chemical_formula_sum 'Ac14 Al4 Tl4'
_space_group_name_H-M_alt 'C m m m'
_space_group_IT_number 65
_space_group_name_Hall '-C 2 2'
_cell_length_a 8.363
_cell_length_b 12.087
_cell_length_c 8.551
_cell_angle_alpha 90.00
_cell_angle_beta 90.00
_cell_angle_gamma 90.00
loop_
_atom_site_label
_atom_site_fract_x
_atom_site_fract_y
_atom_site_fract_z
Ac1 0.000 0.000 0.000
Ac2 0.000 0.500 0.275
Ac3 0.250 0.250 0.296
Al1 0.159 0.000 0.500
Tl1 0.000 0.296 0.000
```

Most intense lines, 2θ = 10–90°, by angle:
2θ 23.69, d 3.756, I 48
2θ 24.52, d 3.631, I 41
2θ 25.91, d 3.439, I 80
2θ 29.56, d 3.022, I 63
2θ 31.39, d 2.850, I 36
2θ 32.35, d 2.767, I 62
2θ 33.44, d 2.680, I 100
2θ 60.47, d 1.531, I 34

---

(6)
Structure and computed powder X-ray diffraction pattern of Ac2Al2Tl (a cell relaxed with GGA-PBE; Cu Kα (weighted mean of Kα1 and Kα2)).
Lines closer than 0.1° are merged.

Structure:
```
data_Ac2Al2Tl
_chemical_formula_sum 'Ac2 Al2 Tl1'
_space_group_name_H-M_alt 'P 1 2/m 1'
_space_group_IT_number 10
_cell_length_a 4.427
_cell_length_b 4.764
_cell_length_c 7.535
_cell_angle_alpha 90.00
_cell_angle_beta 106.93
_cell_angle_gamma 90.00
loop_
_space_group_symop_operation_xyz
'x,y,z'
'-x,-y,-z'
'-x,y,-z'
'x,-y,z'
loop_
_atom_site_label
_atom_site_fract_x
_atom_site_fract_y
_atom_site_fract_z
Ac1 0.130 0.000 0.260
Al1 0.298 0.500 0.597
Tl1 0.500 0.500 0.000
```

Most intense lines, 2θ = 10–90°, by angle:
2θ 27.39, d 3.256, I 49
2θ 28.21, d 3.164, I 100
2θ 31.12, d 2.874, I 63
2θ 37.22, d 2.416, I 24
2θ 37.77, d 2.382, I 21
2θ 40.77, d 2.213, I 17
2θ 47.28, d 1.922, I 23
2θ 54.07, d 1.696, I 16

---

(7)
Structure and computed powder X-ray diffraction pattern of Ac6AlTl2 (a cell relaxed with GGA-PBE; Cu Kα (weighted mean of Kα1 and Kα2)).
Lines closer than 0.1° are merged.

Structure:
```
data_Ac6AlTl2
_chemical_formula_sum 'Ac24 Al4 Tl8'
_space_group_name_H-M_alt 'I m m m'
_space_group_IT_number 71
_space_group_name_Hall '-I 2 2'
_cell_length_a 10.968
_cell_length_b 10.993
_cell_length_c 11.633
_cell_angle_alpha 90.00
_cell_angle_beta 90.00
_cell_angle_gamma 90.00
loop_
_atom_site_label
_atom_site_fract_x
_atom_site_fract_y
_atom_site_fract_z
Ac1 0.000 0.215 0.168
Ac2 0.173 0.236 0.500
Ac3 0.192 0.500 0.244
Al1 0.000 0.500 0.000
Al2 0.000 0.500 0.500
Tl1 0.000 0.000 0.370
Tl2 0.157 0.000 0.000
```

Most intense lines, 2θ = 10–90°, by angle:
2θ 27.63, d 3.229, I 58
2θ 29.34, d 3.044, I 70
2θ 29.98, d 2.980, I 56
2θ 30.35, d 2.945, I 100
2θ 32.59, d 2.748, I 49
2θ 34.92, d 2.569, I 35
2θ 49.88, d 1.828, I 28
2θ 50.96, d 1.792, I 28

---

(8)
Structure and computed powder X-ray diffraction pattern of AcYAl4 (a cell relaxed with GGA-PBE; Cu Kα (weighted mean of Kα1 and Kα2)).
Lines closer than 0.1° are merged.

Structure:
```
data_AcYAl4
_chemical_formula_sum 'Ac2 Y2 Al8'
_space_group_name_H-M_alt 'I -4 m 2'
_space_group_IT_number 119
_space_group_name_Hall 'I -4 -2'
_cell_length_a 4.420
_cell_length_b 4.420
_cell_length_c 15.499
_cell_angle_alpha 90.00
_cell_angle_beta 90.00
_cell_angle_gamma 90.00
loop_
_atom_site_label
_atom_site_fract_x
_atom_site_fract_y
_atom_site_fract_z
Ac1 0.000 0.000 0.000
Y1 0.000 0.500 0.750
Al1 0.000 0.000 0.414
Al2 0.000 0.500 0.169
```

Most intense lines, 2θ = 10–90°, by angle:
2θ 11.42, d 7.749, I 27
2θ 20.90, d 4.251, I 60
2θ 22.95, d 3.875, I 25
2θ 26.54, d 3.359, I 63
2θ 30.85, d 2.899, I 100
2θ 35.37, d 2.538, I 47
2θ 40.83, d 2.210, I 31
2θ 55.10, d 1.667, I 27

---

(9)
Structure and computed powder X-ray diffraction pattern of AcAlZn4 (a cell relaxed with GGA-PBE; Cu Kα (weighted mean of Kα1 and Kα2)).
Lines closer than 0.1° are merged.

Structure:
```
data_AcAlZn4
_chemical_formula_sum 'Ac8 Al8 Zn32'
_space_group_name_H-M_alt 'I 4/m m m'
_space_group_IT_number 139
_space_group_name_Hall '-I 4 2'
_cell_length_a 10.700
_cell_length_b 10.700
_cell_length_c 9.058
_cell_angle_alpha 90.00
_cell_angle_beta 90.00
_cell_angle_gamma 90.00
loop_
_atom_site_label
_atom_site_fract_x
_atom_site_fract_y
_atom_site_fract_z
Ac1 0.000 0.000 0.200
Ac2 0.000 0.500 0.250
Al1 0.000 0.239 0.500
Zn1 0.112 0.281 0.000
Zn2 0.188 0.188 0.332
```

Most intense lines, 2θ = 10–90°, by angle:
2θ 23.52, d 3.783, I 71
2θ 25.77, d 3.457, I 77
2θ 30.80, d 2.903, I 100
2θ 35.15, d 2.553, I 49
2θ 37.59, d 2.393, I 60
2θ 39.10, d 2.304, I 58
2θ 52.42, d 1.746, I 38
2θ 55.37, d 1.659, I 30

---

(10)
Structure and computed powder X-ray diffraction pattern of Ac2Al5Zn3 (a cell relaxed with GGA-PBE; Cu Kα (weighted mean of Kα1 and Kα2)).
Lines closer than 0.1° are merged.

Structure:
```
data_Ac2Al5Zn3
_chemical_formula_sum 'Ac2 Al5 Zn3'
_space_group_name_H-M_alt 'P -4 m 2'
_space_group_IT_number 115
_cell_length_a 4.474
_cell_length_b 4.474
_cell_length_c 10.821
_cell_angle_alpha 90.00
_cell_angle_beta 90.00
_cell_angle_gamma 90.00
loop_
_space_group_symop_operation_xyz
'x,y,z'
'y,-x,-z'
'-x,-y,z'
'-y,x,-z'
'-x,y,z'
'-y,-x,-z'
'x,-y,z'
'y,x,-z'
loop_
_atom_site_label
_atom_site_fract_x
_atom_site_fract_y
_atom_site_fract_z
Ac1 0.000 0.500 0.246
Al1 0.000 0.000 0.500
Al2 0.000 0.500 0.639
Al3 0.500 0.500 0.000
Al4 0.500 0.500 0.500
Zn1 0.000 0.000 0.000
Zn2 0.000 0.500 0.876
```

Most intense lines, 2θ = 10–90°, by angle:
2θ 16.38, d 5.411, I 30
2θ 21.49, d 4.135, I 69
2θ 28.21, d 3.164, I 48
2θ 31.87, d 2.808, I 97
2θ 32.79, d 2.731, I 100
2θ 40.32, d 2.237, I 49
2θ 46.62, d 1.948, I 36
2θ 52.28, d 1.750, I 49

---

(11)
Structure and computed powder X-ray diffraction pattern of Ac2AlZn3 (a cell relaxed with GGA-PBE; Cu Kα (weighted mean of Kα1 and Kα2)).
Lines closer than 0.1° are merged.

Structure:
```
data_Ac2AlZn3
_chemical_formula_sum 'Ac16 Al8 Zn24'
_space_group_name_H-M_alt 'F m m m'
_space_group_IT_number 69
_space_group_name_Hall '-F 2 2'
_cell_length_a 8.306
_cell_length_b 9.371
_cell_length_c 16.132
_cell_angle_alpha 90.00
_cell_angle_beta 90.00
_cell_angle_gamma 90.00
loop_
_atom_site_label
_atom_site_fract_x
_atom_site_fract_y
_atom_site_fract_z
Ac1 0.233 0.000 0.000
Ac2 0.250 0.250 0.250
Al1 0.000 0.000 0.337
Zn1 0.000 0.000 0.169
Zn2 0.000 0.243 0.417
```

Most intense lines, 2θ = 10–90°, by angle:
2θ 21.94, d 4.052, I 25
2θ 22.04, d 4.033, I 13
2θ 30.86, d 2.898, I 100
2θ 38.43, d 2.343, I 14
2θ 38.61, d 2.332, I 28
2θ 43.59, d 2.077, I 9
2θ 50.10, d 1.821, I 17
2θ 59.62, d 1.551, I 15

---

(12)
Structure and computed powder X-ray diffraction pattern of Ac2AlZn5 (a cell relaxed with GGA-PBE; Cu Kα (weighted mean of Kα1 and Kα2)).
Lines closer than 0.1° are merged.

Structure:
```
data_Ac2AlZn5
_chemical_formula_sum 'Ac8 Al4 Zn20'
_space_group_name_H-M_alt 'C m c m'
_space_group_IT_number 63
_space_group_name_Hall '-C 2c 2'
_cell_length_a 4.705
_cell_length_b 16.982
_cell_length_c 9.186
_cell_angle_alpha 90.00
_cell_angle_beta 90.00
_cell_angle_gamma 90.00
loop_
_atom_site_label
_atom_site_fract_x
_atom_site_fract_y
_atom_site_fract_z
Ac1 0.000 0.000 0.000
Ac2 0.000 0.210 0.250
Al1 0.000 0.438 0.750
Zn1 0.000 0.183 0.608
Zn2 0.000 0.351 0.516
Zn3 0.000 0.409 0.250
```

Most intense lines, 2θ = 10–90°, by angle:
2θ 21.86, d 4.066, I 23
2θ 22.00, d 4.040, I 48
2θ 31.47, d 2.842, I 100
2θ 32.51, d 2.754, I 82
2θ 35.37, d 2.538, I 50
2θ 37.32, d 2.410, I 30
2θ 38.26, d 2.353, I 45
2θ 54.50, d 1.684, I 24